Record 1
# Ac2Zn6CuRu
Simulated powder X-ray diffraction pattern, Cu Ka. Input: a cell relaxed with GGA-PBE.
Peak positions follow from Bragg's law for the DFT cell and can differ from measured ones.

Crystal structure
Cell: 6.7674 6.7674 6.7674 Å, 120.10 120.00 89.92°
Element x y z (fractional)
Ac  0.2500  0.2500  0.0000
Ac  0.7500  0.7500  0.0000
Zn  0.2542  0.2457  0.4998
Zn  0.2542  0.7543  0.0085
Zn  0.2541  0.7541  0.5000
Zn  0.7459  0.2459  0.5000
Zn  0.7458  0.2457  0.9915
Zn  0.7458  0.7543  0.5002
Cu  0.5000  0.0000  0.5000
Ru  0.0000  0.5000  0.5000

Main lines, in order of rising 2θ (10 to 90 degrees two-theta):
Position (°2θ), I_rel
26.35, 1000
32.41, 867
37.60, 976
46.50, 441
54.23, 667
61.26, 166
64.59, 236
67.86, 222
74.14, 192
89.21, 125



Record 2
# Ac3Zn6CuRu2
Simulated powder X-ray diffraction pattern, Cu Ka. Input: a cell relaxed with GGA-PBE.
Peak positions follow from Bragg's law for the DFT cell and can differ from measured ones.

Crystal structure
Cell: 6.2684 6.2684 7.9709 Å, 90.00 90.00 120.00°
Element x y z (fractional)
Ac  0.0000  0.0000  0.0000
Ac  0.3333  0.6667  0.7795
Ac  0.6667  0.3333  0.2205
Zn  0.1919  0.3838  0.3654
Zn  0.1919  0.8081  0.3654
Zn  0.3838  0.1919  0.6346
Zn  0.6162  0.8081  0.3654
Zn  0.8081  0.1919  0.6346
Zn  0.8081  0.6162  0.6346
Cu  0.0000  0.0000  0.5000
Ru  0.3333  0.6667  0.1173
Ru  0.6667  0.3333  0.8827

Main lines, in order of rising 2θ (10 to 90 degrees two-theta):
Position (°2θ), I_rel
27.77, 788
28.48, 1000
30.65, 513
34.92, 487
37.69, 598
40.20, 465
50.00, 270
50.43, 182
56.68, 419
58.94, 295



Record 3
# AcCu2SbS4
Simulated powder X-ray diffraction pattern, Cu Ka. Input: a cell relaxed with GGA-PBE.
Peak positions follow from Bragg's law for the DFT cell and can differ from measured ones.

Crystal structure
Cell: 6.2105 6.2105 6.2105 Å, 115.17 110.22 103.24°
Element x y z (fractional)
Ac  0.0000  0.0000  0.0000
Cu  0.3258  0.8258  0.5000
Cu  0.6742  0.1742  0.5000
Sb  0.5000  0.5000  0.0000
S  0.0988  0.0470  0.5516
S  0.4954  0.5472  0.4484
S  0.5046  0.9530  0.0518
S  0.9012  0.4528  0.9482

Main lines, in order of rising 2θ (10 to 90 degrees two-theta):
Position (°2θ), I_rel
17.60, 244
18.26, 351
25.07, 282
26.78, 205
29.58, 1000
34.32, 224
35.63, 228
37.01, 514
47.07, 319
49.06, 246



Record 4
# AcUCuS5
Simulated powder X-ray diffraction pattern, Cu Ka. Input: a cell relaxed with GGA-PBE.
Peak positions follow from Bragg's law for the DFT cell and can differ from measured ones.

Crystal structure
Cell: 6.9930 6.9930 9.5961 Å, 104.29 104.29 105.95°
Element x y z (fractional)
Ac  0.1579  0.8421  0.7500
Ac  0.8421  0.1579  0.2500
U  0.5000  0.5000  0.0000
U  0.5000  0.5000  0.5000
Cu  0.1892  0.8108  0.2500
Cu  0.8108  0.1892  0.7500
S  0.1291  0.2448  0.9280
S  0.1788  0.6059  0.4039
S  0.2448  0.1291  0.4280
S  0.3941  0.8212  0.0961
S  0.4197  0.5803  0.7500
S  0.5803  0.4197  0.2500
S  0.6059  0.1788  0.9039
S  0.7552  0.8709  0.5720
S  0.8212  0.3941  0.5961
S  0.8709  0.7552  0.0720

Main lines, in order of rising 2θ (10 to 90 degrees two-theta):
Position (°2θ), I_rel
20.41, 1000
23.16, 661
25.87, 481
26.61, 780
28.45, 227
33.48, 272
38.08, 252
42.87, 308
45.27, 255
48.63, 258



Record 5
# Ac2CuSb4
Simulated powder X-ray diffraction pattern, Cu Ka. Input: a cell relaxed with GGA-PBE.
Peak positions follow from Bragg's law for the DFT cell and can differ from measured ones.

Crystal structure
Cell: 4.5426 4.5426 10.2801 Å, 90.00 90.00 90.00°
Element x y z (fractional)
Ac  0.0000  0.5000  0.2366
Ac  0.5000  0.0000  0.7634
Cu  0.5000  0.5000  0.0000
Sb  0.0000  0.0000  0.5000
Sb  0.0000  0.5000  0.8731
Sb  0.5000  0.0000  0.1269
Sb  0.5000  0.5000  0.5000

Main lines, in order of rising 2θ (10 to 90 degrees two-theta):
Position (°2θ), I_rel
21.39, 378
27.77, 186
29.13, 350
32.74, 635
32.88, 1000
39.68, 525
48.61, 207
52.36, 343
64.48, 178
67.71, 329



Record 6
# AcCuSe2
Simulated powder X-ray diffraction pattern, Cu Ka. Input: a cell relaxed with GGA-PBE.
Peak positions follow from Bragg's law for the DFT cell and can differ from measured ones.

Crystal structure
Cell: 6.9297 4.1623 14.5386 Å, 90.00 90.00 90.00°
Element x y z (fractional)
Ac  0.0277  0.2500  0.1507
Ac  0.4723  0.7500  0.6507
Ac  0.5277  0.2500  0.3493
Ac  0.9723  0.7500  0.8493
Cu  0.1084  0.7500  0.4559
Cu  0.3916  0.2500  0.9559
Cu  0.6084  0.7500  0.0441
Cu  0.8916  0.2500  0.5441
Se  0.2117  0.7500  0.2936
Se  0.2463  0.7500  0.0249
Se  0.2537  0.2500  0.5249
Se  0.2883  0.2500  0.7936
Se  0.7117  0.7500  0.2064
Se  0.7463  0.7500  0.4751
Se  0.7537  0.2500  0.9751
Se  0.7883  0.2500  0.7064

Main lines, in order of rising 2θ (10 to 90 degrees two-theta):
Position (°2θ), I_rel
14.16, 198
22.39, 745
27.85, 1000
31.13, 232
34.23, 593
35.80, 288
37.74, 495
43.46, 366
49.44, 186
57.57, 188



Record 7
# AcCuTeSe
Simulated powder X-ray diffraction pattern, Cu Ka. Input: a cell relaxed with GGA-PBE.
Peak positions follow from Bragg's law for the DFT cell and can differ from measured ones.

Crystal structure
Cell: 12.3051 12.3051 12.3051 Å, 22.37 22.37 22.37°
Element x y z (fractional)
Ac  0.1051  0.1051  0.1051
Ac  0.8949  0.8949  0.8949
Cu  0.2999  0.2999  0.2999
Cu  0.7001  0.7001  0.7001
Te  0.3765  0.3765  0.3765
Te  0.6235  0.6235  0.6235
Se  0.1971  0.1971  0.1971
Se  0.8029  0.8029  0.8029

Main lines, in order of rising 2θ (10 to 90 degrees two-theta):
Position (°2θ), I_rel
23.68, 1000
33.00, 769
34.98, 232
37.68, 965
44.99, 186
48.76, 230
50.95, 226
54.21, 193
65.07, 216
68.02, 169



Record 8
# Ac3Cu4Si4
Simulated powder X-ray diffraction pattern, Cu Ka. Input: a cell relaxed with GGA-PBE.
Peak positions follow from Bragg's law for the DFT cell and can differ from measured ones.

Crystal structure
Cell: 12.8005 12.8005 4.2740 Å, 99.53 99.53 19.66°
Element x y z (fractional)
Ac  0.0000  0.0000  0.0000
Ac  0.1503  0.1503  0.6509
Ac  0.8497  0.8497  0.3491
Cu  0.2987  0.2987  0.7994
Cu  0.4473  0.4473  0.4465
Cu  0.5527  0.5527  0.5535
Cu  0.7013  0.7013  0.2006
Si  0.2497  0.2497  0.2509
Si  0.4006  0.4006  0.8998
Si  0.5994  0.5994  0.1002
Si  0.7503  0.7503  0.7491

Main lines, in order of rising 2θ (10 to 90 degrees two-theta):
Position (°2θ), I_rel
21.44, 317
23.42, 482
30.12, 712
32.48, 863
32.66, 1000
38.81, 369
41.33, 338
42.29, 309
54.32, 404
57.98, 228



Record 9
# AcCu6Si2
Simulated powder X-ray diffraction pattern, Cu Ka. Input: a cell relaxed with GGA-PBE.
Peak positions follow from Bragg's law for the DFT cell and can differ from measured ones.

Crystal structure
Cell: 4.2612 4.2612 7.7069 Å, 90.00 90.00 90.00°
Element x y z (fractional)
Ac  0.0000  0.0000  0.0000
Cu  0.0000  0.0000  0.5000
Cu  0.0000  0.5000  0.3208
Cu  0.0000  0.5000  0.6792
Cu  0.5000  0.0000  0.3208
Cu  0.5000  0.0000  0.6792
Cu  0.5000  0.5000  0.5000
Si  0.5000  0.5000  0.1670
Si  0.5000  0.5000  0.8330

Main lines, in order of rising 2θ (10 to 90 degrees two-theta):
Position (°2θ), I_rel
20.85, 220
23.86, 461
31.30, 406
31.89, 327
37.91, 1000
41.02, 242
42.43, 681
53.66, 182
61.56, 216
74.61, 257



Record 10
# AcCu4Si2
Simulated powder X-ray diffraction pattern, Cu Ka. Input: a cell relaxed with GGA-PBE.
Peak positions follow from Bragg's law for the DFT cell and can differ from measured ones.

Crystal structure
Cell: 6.7454 6.7454 4.2670 Å, 90.00 90.00 143.30°
Element x y z (fractional)
Ac  0.0000  0.0000  0.0000
Cu  0.1932  0.8068  0.5000
Cu  0.3087  0.6913  0.0000
Cu  0.6913  0.3087  0.0000
Cu  0.8068  0.1932  0.5000
Si  0.3974  0.6026  0.5000
Si  0.6026  0.3974  0.5000

Main lines, in order of rising 2θ (10 to 90 degrees two-theta):
Position (°2θ), I_rel
22.05, 256
25.08, 278
29.68, 256
30.51, 226
35.04, 193
36.53, 1000
42.36, 348
42.58, 250
61.62, 223
73.66, 183



Record 11
# AcCu3Si
Simulated powder X-ray diffraction pattern, Cu Ka. Input: a cell relaxed with GGA-PBE.
Peak positions follow from Bragg's law for the DFT cell and can differ from measured ones.

Crystal structure
Cell: 5.7509 5.7509 5.7509 Å, 135.65 135.65 64.52°
Element x y z (fractional)
Ac  0.0000  0.0000  0.0000
Cu  0.2566  0.7566  0.5000
Cu  0.6162  0.6162  0.0000
Cu  0.7566  0.2566  0.5000
Si  0.3655  0.3655  0.0000

Main lines, in order of rising 2θ (10 to 90 degrees two-theta):
Position (°2θ), I_rel
22.43, 301
29.09, 115
34.54, 1000
41.61, 287
47.78, 90
51.48, 130
55.14, 201
60.31, 94
68.27, 134
71.40, 192



Record 12
# AcCuSi
Simulated powder X-ray diffraction pattern, Cu Ka. Input: a cell relaxed with GGA-PBE.
Peak positions follow from Bragg's law for the DFT cell and can differ from measured ones.

Crystal structure
Cell: 4.3059 4.3059 8.7392 Å, 90.00 90.00 120.00°
Element x y z (fractional)
Ac  0.0000  0.0000  0.0000
Ac  0.0000  0.0000  0.5000
Cu  0.3333  0.6667  0.2500
Cu  0.6667  0.3333  0.7500
Si  0.3333  0.6667  0.7500
Si  0.6667  0.3333  0.2500

Main lines, in order of rising 2θ (10 to 90 degrees two-theta):
Position (°2θ), I_rel
20.32, 93
23.86, 396
31.54, 1000
41.32, 112
41.96, 322
48.28, 129
53.43, 230
60.36, 220
69.25, 106
70.16, 205



Record 13
# Ac2SmCu9
Simulated powder X-ray diffraction pattern, Cu Ka. Input: a cell relaxed with GGA-PBE.
Peak positions follow from Bragg's law for the DFT cell and can differ from measured ones.

Crystal structure
Cell: 9.3049 9.3049 9.3049 Å, 33.14 33.14 33.14°
Element x y z (fractional)
Ac  0.1368  0.1368  0.1368
Ac  0.8632  0.8632  0.8632
Sm  0.0000  0.0000  0.0000
Cu  0.0817  0.5735  0.5735
Cu  0.3318  0.3318  0.3318
Cu  0.4265  0.4265  0.9183
Cu  0.4265  0.9183  0.4265
Cu  0.5000  0.5000  0.5000
Cu  0.5735  0.0817  0.5735
Cu  0.5735  0.5735  0.0817
Cu  0.6682  0.6682  0.6682
Cu  0.9183  0.4265  0.4265

Main lines, in order of rising 2θ (10 to 90 degrees two-theta):
Position (°2θ), I_rel
30.70, 727
33.46, 632
33.78, 729
39.36, 515
39.68, 1000
42.55, 243
58.52, 236
60.23, 249
64.41, 230
71.05, 279



Record 14
# AcSmCu3
Simulated powder X-ray diffraction pattern, Cu Ka. Input: a cell relaxed with GGA-PBE.
Peak positions follow from Bragg's law for the DFT cell and can differ from measured ones.

Crystal structure
Cell: 13.0808 13.0808 4.4305 Å, 90.00 90.00 162.43°
Element x y z (fractional)
Ac  0.0733  0.9267  0.7500
Ac  0.9267  0.0733  0.2500
Sm  0.2057  0.7943  0.2500
Sm  0.7943  0.2057  0.7500
Cu  0.3247  0.6753  0.2500
Cu  0.3774  0.6226  0.7500
Cu  0.4754  0.5246  0.7500
Cu  0.5246  0.4754  0.2500
Cu  0.6226  0.3774  0.2500
Cu  0.6753  0.3247  0.7500

Main lines, in order of rising 2θ (10 to 90 degrees two-theta):
Position (°2θ), I_rel
24.36, 321
31.90, 1000
33.03, 537
34.86, 167
40.39, 359
40.73, 255
45.39, 187
53.40, 276
62.36, 202
68.64, 142